Entry 1:
Calculated powder X-ray diffraction pattern of BPBr2NCl3 for Cu Kα, 1.54184 Å, from a cell relaxed with PBE.

abc: 13.7301 12.5632 10.4919
angles: 90.00 90.00 90.00
Space group Cmce (No. 64)
Asymmetric unit:
B: 0.0802 0.0000 0.0000 (multiplicity 8)
P: 0.0000 0.0008 0.2535 (multiplicity 8)
Br: 0.1655 0.1314 0.9800 (multiplicity 16)
N: 0.0000 0.0112 0.1039 (multiplicity 8)
Cl: 0.0000 0.1469 0.6749 (multiplicity 8)
Cl: 0.1168 0.0688 0.3286 (multiplicity 16)

Largest 12 diffraction maxima, in order of rising 2θ, 2θ from 15° to 90°:
- 2θ 16.90, I = 23, hkl 0 0 2
- 2θ 21.32, I = 77, hkl 2 0 2
- 2θ 22.34, I = 68, hkl 3 1 1
- 2θ 26.81, I = 26, hkl 3 1 2
- 2θ 27.25, I = 84, hkl 1 1 3
- 2θ 28.42, I = 26, hkl 0 4 0
- 2θ 30.15, I = 100, hkl 3 3 1
- 2θ 33.01, I = 46, hkl 3 1 3
- 2θ 33.25, I = 35, hkl 0 4 2
- 2θ 38.88, I = 21, hkl 4 4 0
- 2θ 39.37, I = 21, hkl 6 0 0
- 2θ 52.46, I = 24, hkl 6 4 2

=====

Entry 2:
Calculated powder X-ray diffraction pattern of CsB6Br6 for Cu Kα, 1.54184 Å, from a cell relaxed with PBE.

abc: 10.1492 10.1492 48.5629
angles: 90.00 90.00 120.00
Space group R-3 (No. 148, hexagonal axes)
Asymmetric unit:
Cs: 0.0000 0.0000 0.1266 (multiplicity 6)
Cs: 0.0000 0.0000 0.2915 (multiplicity 6)
B: 0.0199 0.9093 0.5280 (multiplicity 18)
B: 0.0294 0.1135 0.9722 (multiplicity 18)
B: 0.0324 0.8544 0.4933 (multiplicity 18)
B: 0.0472 0.1835 0.0066 (multiplicity 18)
Br: 0.0197 0.2830 0.1818 (multiplicity 18)
Br: 0.0396 0.7662 0.6514 (multiplicity 18)
Br: 0.0415 0.8040 0.5600 (multiplicity 18)
Br: 0.0624 0.2445 0.9400 (multiplicity 18)

Largest 12 diffraction maxima, in order of rising 2θ, 2θ from 15° to 90°:
- 2θ 26.90, I = 39, hkl 3 -1 1
- 2θ 27.09, I = 26, hkl 3 -2 2
- 2θ 27.84, I = 25, hkl 2 1 4
- 2θ 28.20, I = 100, hkl 1 1 12
- 2θ 28.39, I = 42, hkl 3 -2 5
- 2θ 28.66, I = 22, hkl 2 0 11
- 2θ 29.82, I = 36, hkl 3 -1 7
- 2θ 30.51, I = 15, hkl 3 0 0
- 2θ 30.68, I = 23, hkl 1 2 8
- 2θ 32.66, I = 17, hkl 3 -1 10
- 2θ 47.40, I = 15, hkl 4 1 0
- 2θ 50.50, I = 14, hkl 4 1 9

=====

Entry 3:
Calculated powder X-ray diffraction pattern of Cs3B12H12Br for Cu Kα, 1.54184 Å, from a cell relaxed with PBE.

abc: 10.6334 10.6334 12.0141
angles: 90.00 90.00 120.00
Space group R-3m (No. 166, hexagonal axes)
Asymmetric unit:
Cs: 0.0000 0.5000 0.0000 (multiplicity 9)
B: 0.0558 0.1115 0.8879 (multiplicity 18)
B: 0.0903 0.1805 0.0265 (multiplicity 18)
H: 0.0242 0.5121 0.7128 (multiplicity 18)
H: 0.0958 0.1915 0.8087 (multiplicity 18)
Br: 0.0000 0.0000 0.5000 (multiplicity 3)

Largest 12 diffraction maxima, in order of rising 2θ, 2θ from 15° to 90°:
- 2θ 20.66, I = 72, hkl 0 2 1
- 2θ 22.20, I = 20, hkl 0 0 3
- 2θ 24.36, I = 100, hkl 2 0 2
- 2θ 26.66, I = 32, hkl 2 1 1
- 2θ 27.89, I = 31, hkl 1 1 3
- 2θ 33.72, I = 41, hkl 2 2 0
- 2θ 35.69, I = 35, hkl 0 2 4
- 2θ 35.95, I = 19, hkl 1 3 1
- 2θ 40.74, I = 20, hkl 2 2 3
- 2θ 42.03, I = 19, hkl 0 4 2
- 2θ 54.93, I = 23, hkl 4 2 2
- 2θ 57.63, I = 17, hkl 2 2 6

=====

Entry 4:
Calculated powder X-ray diffraction pattern of Cu3B7BrO13 for Cu Kα, 1.54184 Å, from a cell relaxed with PBE.

abc: 12.0796 12.0796 12.0796
angles: 90.00 90.00 90.00
Space group F-43c (No. 219)
Asymmetric unit:
Cu: 0.0000 0.0000 0.2500 (multiplicity 24)
B: 0.0000 0.2500 0.2500 (multiplicity 24)
B: 0.1691 0.1691 0.3309 (multiplicity 32)
Br: 0.0000 0.0000 0.0000 (multiplicity 8)
O: 0.0698 0.1517 0.2678 (multiplicity 96)
O: 0.2500 0.2500 0.2500 (multiplicity 8)

Largest 12 diffraction maxima, in order of rising 2θ, 2θ from 15° to 90°:
- 2θ 25.54, I = 18, hkl 2 2 2
- 2θ 29.58, I = 100, hkl 4 0 0
- 2θ 33.17, I = 77, hkl 4 2 0
- 2θ 42.33, I = 62, hkl 4 4 0
- 2θ 44.37, I = 20, hkl 5 3 1
- 2θ 45.03, I = 14, hkl 6 0 0
- 2θ 50.09, I = 21, hkl 6 2 2
- 2θ 52.48, I = 31, hkl 4 4 4
- 2θ 54.80, I = 16, hkl 6 4 0
- 2θ 63.51, I = 23, hkl 8 2 0
- 2θ 69.62, I = 31, hkl 8 4 0
- 2θ 77.41, I = 29, hkl 8 4 4

=====

Entry 5:
Calculated powder X-ray diffraction pattern of Eu2BBrN2 for Cu Kα, 1.54184 Å, from a cell relaxed with PBE.

abc: 4.0595 4.0595 26.7461
angles: 90.00 90.00 120.00
Space group R-3m (No. 166, hexagonal axes)
Asymmetric unit:
Eu: 0.0000 0.0000 0.2482 (multiplicity 6)
B: 0.0000 0.0000 0.5000 (multiplicity 3)
Br: 0.0000 0.0000 0.0000 (multiplicity 3)
N: 0.0000 0.0000 0.4494 (multiplicity 6)

Largest 12 diffraction maxima, in order of rising 2θ, 2θ from 15° to 90°:
- 2θ 19.92, I = 24, hkl 0 0 6
- 2θ 26.21, I = 27, hkl 0 1 2
- 2θ 28.69, I = 100, hkl 1 0 4
- 2θ 37.11, I = 43, hkl 0 1 8
- 2θ 40.47, I = 11, hkl 0 0 12
- 2θ 42.47, I = 12, hkl 1 0 10
- 2θ 44.64, I = 32, hkl 1 1 0
- 2θ 49.33, I = 14, hkl 1 1 6
- 2θ 53.93, I = 17, hkl 0 2 4
- 2θ 61.41, I = 11, hkl 1 0 16
- 2θ 61.82, I = 19, hkl 1 1 12
- 2θ 72.53, I = 14, hkl 2 1 4

=====

Entry 6:
Calculated powder X-ray diffraction pattern of Gd3BBr3 for Cu Kα, 1.54184 Å, from a cell relaxed with PBE.

abc: 11.3978 11.3978 11.3978
angles: 90.00 90.00 90.00
Space group I4_132 (No. 214)
Asymmetric unit:
Gd: 0.1052 0.3552 0.1250 (multiplicity 24)
B: 0.1250 0.1250 0.1250 (multiplicity 8)
Br: 0.1171 0.1329 0.6250 (multiplicity 24)

Largest 12 diffraction maxima, in order of rising 2θ, 2θ from 15° to 90°:
- 2θ 19.07, I = 11, hkl 2 1 1
- 2θ 27.10, I = 14, hkl 2 2 2
- 2θ 29.32, I = 52, hkl 3 2 1
- 2θ 31.39, I = 100, hkl 4 0 0
- 2θ 36.99, I = 29, hkl 3 3 2
- 2θ 44.99, I = 65, hkl 4 4 0
- 2θ 55.89, I = 20, hkl 4 4 4
- 2θ 59.61, I = 23, hkl 7 2 1
- 2θ 64.36, I = 18, hkl 7 3 2
- 2θ 65.52, I = 8, hkl 8 0 0
- 2θ 74.45, I = 20, hkl 8 4 0
- 2θ 83.01, I = 14, hkl 8 4 4